Diffraction record for Ag4SeI2O4. The powder XRD pattern is simulated, not measured: it uses a GGA-PBE-relaxed structure and Cu Ka.
Neutral-atom scattering factors, no anomalous dispersion.

Most intense lines, 2θ from 10° to 90°, by angle:
| d/Å | two_theta | I_rel | index |
| --- | --- | --- | --- |
| 3.641 | 24.45 | 100 | 0 0 2 |
| 3.238 | 27.55 | 57 | 2 3 0 |
| 3.088 | 28.91 | 50 | 3 1 0 |
| 2.958 | 30.21 | 99 | 2 3 1 |
| 2.863 | 31.24 | 68 | 3 2 0 |
| 2.718 | 32.95 | 48 | 2 4 0 |
| 2.694 | 33.26 | 70 | 1 3 2 |
| 2.651 | 33.82 | 96 | 2 2 2 |
| 2.551 | 35.18 | 51 | 1 5 0 |
| 2.134 | 42.35 | 56 | 2 1 3 |

Structure:
```
44
Lattice="9.527 0.000 0.000 0.000 13.242 0.000 0.000 0.000 7.282" Properties=species:S:1:pos:R:3 pbc="T T T"
Ag 0.180 0.212 0.000
Ag 0.399 10.046 6.033
Ag 1.188 5.524 5.429
Ag 2.252 2.555 6.511
Ag 2.511 9.176 2.870
Ag 3.575 12.145 1.788
Ag 4.364 3.425 2.392
Ag 4.584 6.833 3.641
Ag 4.943 6.409 0.000
Ag 5.163 9.817 6.033
Ag 5.951 1.097 5.429
Ag 7.016 4.066 6.511
Ag 7.274 10.686 2.870
Ag 8.339 7.718 1.788
Ag 9.127 3.196 2.392
Ag 9.347 13.030 3.641
Se 1.747 5.682 1.772
Se 3.016 12.303 5.413
Se 6.510 0.938 1.772
Se 7.780 7.559 5.413
I 0.411 10.784 1.713
I 2.225 1.471 1.897
I 2.538 8.092 5.538
I 4.352 4.164 5.353
I 5.174 9.078 1.713
I 6.989 5.150 1.897
I 7.301 11.771 5.538
I 9.116 2.457 5.353
O 1.170 4.839 0.439
O 1.185 4.869 3.142
O 1.274 7.291 1.764
O 1.293 12.242 5.437
O 3.470 5.621 1.796
O 3.490 0.670 5.405
O 3.578 11.489 6.783
O 3.594 11.460 4.079
O 5.933 1.782 0.439
O 5.948 1.752 3.142
O 6.037 12.571 1.764
O 6.056 7.621 5.437
O 8.233 1.000 1.796
O 8.253 5.951 5.405
O 8.341 8.373 6.783
O 8.357 8.402 4.079
```